# CaMnF5
Theoretical X-ray diffraction stick pattern, copper Kα. Input: a structure optimized by DFT (GGA+U).

Atomic structure:
Cell: 5.602 5.602 7.970 Å, 110.95 110.95 70.77°
Atoms (fractional coordinates):
Ca: 0.044 0.956 0.750
Ca: 0.956 0.044 0.250
Mn: 0.500 0.500 0.000
Mn: 0.500 0.500 0.500
F: 0.192 0.787 0.032
F: 0.213 0.808 0.468
F: 0.258 0.291 0.383
F: 0.291 0.258 0.883
F: 0.403 0.597 0.750
F: 0.597 0.403 0.250
F: 0.709 0.742 0.117
F: 0.742 0.709 0.617
F: 0.787 0.192 0.532
F: 0.808 0.213 0.968

Peak list (10 most intense, 2θ = 10–90°, in order of falling intensity)
| d/Å | I (rel.) |
| --- | --- |
| 3.396 | 100.0 |
| 4.105 | 98.5 |
| 3.244 | 40.7 |
| 1.901 | 32.9 |
| 2.052 | 32.1 |
| 1.992 | 26.5 |
| 1.395 | 18.0 |
| 1.698 | 17.2 |
| 5.090 | 15.0 |
| 1.725 | 13.6 |